Computed powder X-ray diffraction pattern of MgNi3O4 for Cu Kα, from a cell relaxed with GGA+U.

Crystal structure
```
16
Lattice="5.173 0.000 0.000 0.000 5.978 0.000 -1.728 0.000 4.889" Properties=species:S:1:pos:R:3 pbc="T T T"
Mg -0.432 0.759 1.222
Mg -1.296 5.219 3.667
Ni -1.296 2.241 3.667
Ni -0.432 3.737 1.222
Ni 1.290 0.750 3.667
Ni 2.154 2.243 1.222
Ni 1.290 3.735 3.667
Ni 2.154 5.228 1.222
O -0.441 0.743 4.887
O 0.426 2.243 2.445
O 1.290 3.735 0.000
O 0.423 5.236 2.443
O 3.021 0.743 2.446
O 2.154 2.243 4.888
O 3.018 3.735 2.444
O 3.885 5.236 0.001
```

Peak list (8 most intense, 10° ≤ 2θ ≤ 90°, by intensity)
| Position (°2θ) | I/Imax |
| --- | --- |
| 42.8 | 100 |
| 36.8 | 62 |
| 62.1 | 38 |
| 62.1 | 19 |
| 74.4 | 14 |
| 78.4 | 13 |
| 74.5 | 10 |
| 23.5 | 6 |